Entry 1:
Computed X-ray diffraction stick pattern of Ca2MgHg6 for Cu Kα, 1.54184 Å, from DFT lattice parameters and positions (GGA-PBE).
Peak positions follow from Bragg's law for the DFT cell and can differ from measured ones.

a = 7.2690 Å, b = 6.6757 Å, c = 11.2124 Å
α = 90.00°, β = 120.13°, γ = 90.00°
Space group P2_1/c (No. 14)
One atom of each set of equivalent atoms:
Ca: 0.1622 0.0077 0.2255 x4
Mg: 0.0000 0.0000 0.5000 x2
Hg: 0.2773 0.2079 0.0084 x4
Hg: 0.3143 0.5137 0.2756 x4
Hg: 0.3392 0.7267 0.0258 x4

Main lines, by intensity (10 to 90 degrees two-theta):
2θ (°), I (rel.), (hkl)
32.57, 100, 0 2 2
36.79, 75, 2 2 -2
33.48, 52, 2 0 -4
28.40, 44, 2 0 0
14.09, 36, 1 0 0
37.08, 35, 0 0 4

---

Entry 2:
Computed X-ray diffraction stick pattern of CsPd4Br7 for Cu Kα, 1.54184 Å, from DFT lattice parameters and positions (GGA-PBE).
Peak positions follow from Bragg's law for the DFT cell and can differ from measured ones.

a = 18.2769 Å, b = 8.4276 Å, c = 5.2625 Å
α = 90.00°, β = 90.00°, γ = 90.00°
Space group Pmn2_1 (No. 31)
One atom of each set of equivalent atoms:
Cs: 0.0000 0.0418 0.0000 x2
Pd: 0.1125 0.6007 0.2199 x4
Pd: 0.2328 0.7418 0.5338 x4
Br: 0.0000 0.4816 0.4079 x2
Br: 0.1044 0.8438 0.4960 x4
Br: 0.1380 0.3482 0.9987 x4
Br: 0.2249 0.7302 0.0287 x4

Main lines, by intensity (10 to 90 degrees two-theta):
2θ (°), I (rel.), (hkl)
23.25, 100, 2 2 0
24.73, 62, 3 1 1
19.89, 55, 0 1 1
47.54, 43, 4 4 0
31.64, 37, 5 1 1
39.47, 35, 8 0 0

---

Entry 3:
Computed X-ray diffraction stick pattern of Dy5MgIn for Cu Kα, 1.54184 Å, from DFT lattice parameters and positions (GGA-PBE).
Peak positions follow from Bragg's law for the DFT cell and can differ from measured ones.

a = 8.4137 Å, b = 9.0543 Å, c = 11.4971 Å
α = 90.00°, β = 107.33°, γ = 90.00°
Space group C2/c (No. 15)
One atom of each set of equivalent atoms:
Dy: 0.0000 0.1319 0.2500 x4
Dy: 0.1144 0.3542 0.5349 x8
Dy: 0.2063 0.2044 0.8401 x8
Mg: 0.0000 0.0000 0.0000 x4
In: 0.0000 0.4834 0.2500 x4

Main lines, by intensity (10 to 90 degrees two-theta):
2θ (°), I (rel.), (hkl)
34.14, 100, 1 3 -2
31.33, 84, 1 1 3
32.61, 69, 2 2 1
33.50, 67, 3 1 -1
33.63, 57, 2 0 -4
19.32, 34, 1 1 -2

---

Entry 4:
Computed X-ray diffraction stick pattern of Ho2HPd6 for Cu Kα, 1.54184 Å, from DFT lattice parameters and positions (GGA-PBE).
Peak positions follow from Bragg's law for the DFT cell and can differ from measured ones.

a = 5.8249 Å, b = 5.8249 Å, c = 8.2864 Å
α = 90.00°, β = 90.00°, γ = 90.00°
Space group I4/mmm (No. 139)
One atom of each set of equivalent atoms:
Ho: 0.0000 0.5000 0.2500 x4
H: 0.0000 0.0000 0.0000 x2
Pd: 0.0000 0.0000 0.2512 x4
Pd: 0.2486 0.2486 0.5000 x8

Main lines, by intensity (10 to 90 degrees two-theta):
2θ (°), I (rel.), (hkl)
37.76, 100, 2 0 2
43.97, 33, 2 2 0
76.70, 25, 4 2 2
63.72, 21, 2 2 4
43.70, 17, 0 0 4
76.31, 12, 2 0 6

---

Entry 5:
Computed X-ray diffraction stick pattern of Ba2Cd17 for Cu Kα, 1.54184 Å, from DFT lattice parameters and positions (GGA-PBE).
Peak positions follow from Bragg's law for the DFT cell and can differ from measured ones.

a = 10.4114 Å, b = 10.4114 Å, c = 15.2491 Å
α = 90.00°, β = 90.00°, γ = 120.00°
Space group R-3m (No. 166, hexagonal axes)
One atom of each set of equivalent atoms:
Ba: 0.0000 0.0000 0.1631 x6
Cd: 0.0000 0.0000 0.4009 x6
Cd: 0.0000 0.2951 0.5000 x18
Cd: 0.0000 0.5000 0.0000 x9
Cd: 0.0089 0.5044 0.6508 x18

Main lines, by intensity (10 to 90 degrees two-theta):
2θ (°), I (rel.), (hkl)
34.67, 100, 0 3 3
38.87, 71, 2 2 3
34.46, 63, 2 2 0
35.32, 48, 0 0 6
29.73, 32, 3 0 0
30.71, 27, 0 2 4

---

Entry 6:
Computed X-ray diffraction stick pattern of DyMgGaHg for Cu Kα, 1.54184 Å, from DFT lattice parameters and positions (GGA-PBE).
Peak positions follow from Bragg's law for the DFT cell and can differ from measured ones.

a = 7.0840 Å, b = 7.0840 Å, c = 7.0840 Å
α = 90.00°, β = 90.00°, γ = 90.00°
Space group F-43m (No. 216)
One atom of each set of equivalent atoms:
Dy: 0.0000 0.0000 0.0000 x4
Mg: 0.0000 0.0000 0.5000 x4
Ga: 0.2500 0.2500 0.7500 x4
Hg: 0.2500 0.2500 0.2500 x4

Main lines, by intensity (10 to 90 degrees two-theta):
2θ (°), I (rel.), (hkl)
35.85, 100, 2 2 0
21.73, 37, 1 1 1
64.43, 36, 4 2 2
42.31, 21, 3 1 1
51.61, 18, 4 0 0
86.99, 16, 6 2 0

---

Entry 7:
Computed X-ray diffraction stick pattern of Pm6TlTe8 for Cu Kα, 1.54184 Å, from DFT lattice parameters and positions (GGA-PBE).
Peak positions follow from Bragg's law for the DFT cell and can differ from measured ones.

a = 12.0727 Å, b = 12.0727 Å, c = 4.5152 Å
α = 90.00°, β = 90.00°, γ = 120.00°
Space group P-3 (No. 147)
One atom of each set of equivalent atoms:
Pm: 0.1360 0.4836 0.2496 x6
Tl: 0.0000 0.0000 0.5000 x1
Te: 0.0470 0.6925 0.2517 x6
Te: 0.3333 0.6667 0.7497 x2

Main lines, by intensity (10 to 90 degrees two-theta):
2θ (°), I (rel.), (hkl)
30.05, 100, 3 -2 1
35.79, 85, 2 2 1
25.56, 48, 3 0 0
42.69, 46, 5 -3 1
30.84, 46, 3 1 0
26.08, 41, 2 0 1

---

Entry 8:
Computed X-ray diffraction stick pattern of Sm6Mg2In for Cu Kα, 1.54184 Å, from DFT lattice parameters and positions (GGA-PBE).
Peak positions follow from Bragg's law for the DFT cell and can differ from measured ones.

a = 10.1112 Å, b = 10.3648 Å, c = 10.7483 Å
α = 90.00°, β = 90.00°, γ = 90.00°
Space group Immm (No. 71)
One atom of each set of equivalent atoms:
Sm: 0.0000 0.1807 0.2389 x8
Sm: 0.1771 0.5000 0.2599 x8
Sm: 0.2434 0.3027 0.0000 x8
Mg: 0.0000 0.3655 0.5000 x4
Mg: 0.1386 0.0000 0.0000 x4
In: 0.0000 0.0000 0.5000 x2
In: 0.0000 0.5000 0.0000 x2

Main lines, by intensity (10 to 90 degrees two-theta):
2θ (°), I (rel.), (hkl)
29.76, 100, 2 2 2
32.50, 58, 3 1 2
33.34, 39, 0 0 4
32.04, 35, 1 3 2
57.36, 22, 6 0 2
27.83, 18, 3 1 0

---

Entry 9:
Computed X-ray diffraction stick pattern of MgSnRu for Cu Kα, 1.54184 Å, from DFT lattice parameters and positions (GGA-PBE).
Peak positions follow from Bragg's law for the DFT cell and can differ from measured ones.

a = 5.0651 Å, b = 9.5304 Å, c = 8.6469 Å
α = 90.00°, β = 90.00°, γ = 90.00°
Space group Fdd2 (No. 43)
One atom of each set of equivalent atoms:
Mg: 0.0000 0.0000 0.0000 x8
Sn: 0.0000 0.0000 0.6551 x8
Ru: 0.0000 0.0000 0.3233 x8

Main lines, by intensity (10 to 90 degrees two-theta):
2θ (°), I (rel.), (hkl)
37.11, 100, 1 1 3
40.33, 80, 2 2 0
46.15, 54, 1 3 3
37.76, 48, 0 4 0
22.38, 45, 1 1 1
27.86, 26, 0 2 2

---

Entry 10:
Computed X-ray diffraction stick pattern of Ca5Pd for Cu Kα, 1.54184 Å, from DFT lattice parameters and positions (GGA-PBE).
Peak positions follow from Bragg's law for the DFT cell and can differ from measured ones.

a = 10.8370 Å, b = 4.2859 Å, c = 9.0802 Å
α = 90.00°, β = 90.00°, γ = 90.00°
Space group Pmma (No. 51)
One atom of each set of equivalent atoms:
Ca: 0.0000 0.0000 0.0000 x2
Ca: 0.0765 0.5000 0.3119 x4
Ca: 0.2500 0.0000 0.5955 x2
Ca: 0.2500 0.5000 0.9499 x2
Pd: 0.2500 0.0000 0.1889 x2

Main lines, by intensity (10 to 90 degrees two-theta):
2θ (°), I (rel.), (hkl)
12.72, 100, 1 0 1
33.14, 81, 4 0 0
29.83, 75, 1 1 2
33.92, 74, 3 1 1
16.36, 30, 2 0 0
28.31, 29, 2 1 1

---

Entry 11:
Computed X-ray diffraction stick pattern of U2As7Ru12 for Cu Kα, 1.54184 Å, from DFT lattice parameters and positions (GGA-PBE).
Peak positions follow from Bragg's law for the DFT cell and can differ from measured ones.

a = 9.8800 Å, b = 9.8800 Å, c = 3.9093 Å
α = 90.00°, β = 90.00°, γ = 120.00°
Space group P-6 (No. 174)
One atom of each set of equivalent atoms:
U: 0.0000 0.0000 0.0000 x1
U: 0.3333 0.6667 0.5000 x1
As: 0.0707 0.4460 0.0000 x3
As: 0.2639 0.2223 0.5000 x3
As: 0.6667 0.3333 0.0000 x1
Ru: 0.0469 0.2678 0.5000 x3
Ru: 0.1126 0.7083 0.0000 x3
Ru: 0.3934 0.1839 0.0000 x3
Ru: 0.5367 0.4436 0.5000 x3

Main lines, by intensity (10 to 90 degrees two-theta):
2θ (°), I (rel.), (hkl)
36.04, 100, 2 1 1
48.77, 22, 1 4 0
46.46, 19, 0 0 2
69.64, 15, 1 4 2
79.26, 11, 2 1 3
44.67, 10, 1 3 1